Rb4BiO5: computed X-ray powder pattern (Cu Kα, 1.54184 Å), based on a DFT-relaxed cell (GGA-PBE, Alexandria).
Lines closer than 0.1° are merged.

Cell and atoms:
```
Rb4BiO5
1.0
-4.327 4.327 3.077
4.327 -4.327 3.077
4.327 4.327 -3.077
Rb Bi O
4 1 5
Cartesian
2.549 0.778 0.000 Rb
3.548 -1.778 3.077 Rb
0.778 6.104 0.000 Rb
1.778 3.548 3.077 Rb
0.000 0.000 3.306 Bi
4.960 2.347 -0.225 O
2.347 3.694 -0.225 O
1.980 0.633 2.852 O
-0.633 1.980 2.852 O
0.000 0.000 5.356 O
```

Most intense lines, 2θ = 5–70°, most intense first:
2θ (°)  d (Å)  Rel. int.
27.2  3.276  100
32.7  2.737  44
44.3  2.045  33
55.1  1.666  30
29.0  3.077  29
50.3  1.812  21

***

TcMoIr2: computed X-ray powder pattern (Cu Kα, 1.54184 Å), based on a DFT-relaxed cell (GGA-PBE, Alexandria).
Lines closer than 0.1° are merged.

Cell and atoms:
```
TcMoIr2
1.0
2.754 0.000 0.000
0.000 4.416 0.000
0.000 0.000 4.834
Tc Mo Ir
1 1 2
Cartesian
0.000 0.000 0.000 Tc
0.000 2.208 1.612 Mo
1.377 0.000 2.424 Ir
1.377 2.208 4.075 Ir
```

Most intense lines, 2θ = 5–70°, most intense first:
2θ (°)  d (Å)  Rel. int.
43.0  2.104  100
42.6  2.120  48
40.9  2.208  38
37.6  2.393  22
67.3  1.391  17
27.4  3.260  16

***

Sb2Se: computed X-ray powder pattern (Cu Kα, 1.54184 Å), based on a DFT-relaxed cell (GGA-PBE, Alexandria).
Lines closer than 0.1° are merged.

Cell and atoms:
```
Sb2Se
1.0
4.220 0.000 0.000
0.012 6.136 0.000
2.067 -0.004 6.919
Sb Se
4 2
Cartesian
0.000 0.000 0.000 Sb
2.100 3.052 6.917 Sb
2.130 3.390 2.264 Sb
4.224 3.389 4.651 Sb
2.138 6.055 2.002 Se
4.211 6.053 4.917 Se
```

Most intense lines, 2θ = 5–70°, most intense first:
2θ (°)  d (Å)  Rel. int.
28.6  3.124  100
28.8  3.104  99
29.1  3.068  87
41.2  2.189  64
41.4  2.182  64
39.1  2.307  41

***

Pa2NiGe4Pd3: computed X-ray powder pattern (Cu Kα, 1.54184 Å), based on a DFT-relaxed cell (GGA-PBE, Alexandria).
Lines closer than 0.1° are merged.

Cell and atoms:
```
Pa2NiGe4Pd3
1.0
4.280 0.000 0.000
0.000 4.280 0.000
0.000 0.000 9.896
Pa Ni Ge Pd
2 1 4 3
Cartesian
0.000 2.140 2.365 Pa
2.140 0.000 7.531 Pa
2.140 2.140 0.000 Ni
0.000 0.000 4.948 Ge
0.000 2.140 8.659 Ge
2.140 0.000 1.238 Ge
2.140 2.140 4.948 Ge
0.000 0.000 0.000 Pd
0.000 2.140 6.246 Pd
2.140 0.000 3.651 Pd
```

Most intense lines, 2θ = 5–70°, most intense first:
2θ (°)  d (Å)  Rel. int.
34.7  2.582  100
34.3  2.613  78
42.2  2.140  64
55.5  1.656  41
29.5  3.026  30
50.8  1.796  28

***

YZnCu11: computed X-ray powder pattern (Cu Kα, 1.54184 Å), based on a DFT-relaxed cell (GGA-PBE, Alexandria).
Lines closer than 0.1° are merged.

Cell and atoms:
```
YZnCu11
1.0
2.428 -5.988 0.000
2.428 5.988 0.000
-2.402 0.000 6.061
Y Zn Cu
1 1 11
Cartesian
0.000 0.000 0.000 Y
1.227 0.000 3.030 Zn
-1.201 0.000 3.030 Cu
1.214 2.994 0.000 Cu
0.048 3.844 3.925 Cu
0.019 1.335 4.721 Cu
2.406 3.844 2.136 Cu
2.435 1.335 1.340 Cu
1.214 -2.994 0.000 Cu
0.019 -1.335 4.721 Cu
0.048 -3.844 3.925 Cu
2.435 -1.335 1.340 Cu
2.406 -3.844 2.136 Cu
```

Most intense lines, 2θ = 5–70°, most intense first:
2θ (°)  d (Å)  Rel. int.
42.4  2.130  100
42.8  2.114  94
48.0  1.897  51
42.9  2.106  43
48.3  1.886  32
42.3  2.138  26

***

Sr5CaBi4: computed X-ray powder pattern (Cu Kα, 1.54184 Å), based on a DFT-relaxed cell (GGA-PBE, Alexandria).
Lines closer than 0.1° are merged.

Cell and atoms:
```
Sr5CaBi4
1.0
9.144 -2.698 0.000
9.144 2.698 0.000
-0.403 0.000 8.367
Sr Ca Bi
5 1 4
Cartesian
0.000 0.000 0.000 Sr
5.752 0.000 8.341 Sr
6.063 0.000 4.328 Sr
11.823 0.000 4.039 Sr
12.133 0.000 0.026 Sr
-0.201 0.000 4.184 Ca
3.339 0.000 2.067 Bi
8.681 0.000 2.154 Bi
9.205 0.000 6.213 Bi
14.547 0.000 6.300 Bi
```

Most intense lines, 2θ = 5–70°, most intense first:
2θ (°)  d (Å)  Rel. int.
30.3  2.953  100
31.3  2.860  96
33.2  2.698  45
20.1  4.428  42
29.3  3.045  41
22.6  3.930  31

***

In2SnH: computed X-ray powder pattern (Cu Kα, 1.54184 Å), based on a DFT-relaxed cell (GGA-PBE, Alexandria).
Lines closer than 0.1° are merged.

Cell and atoms:
```
In2SnH
1.0
5.608 0.000 0.000
0.000 3.745 0.000
-0.936 0.000 8.201
In Sn H
4 2 2
Cartesian
0.240 0.000 1.283 In
1.463 3.743 6.549 In
3.209 1.871 1.652 In
4.433 1.873 6.918 In
0.865 1.871 3.850 Sn
3.807 3.744 4.351 Sn
2.281 3.734 0.796 H
2.391 1.861 7.405 H
```

Most intense lines, 2θ = 5–70°, most intense first:
2θ (°)  d (Å)  Rel. int.
31.4  2.847  100
32.8  2.734  85
35.1  2.556  76
55.2  1.664  30
59.9  1.545  30
62.3  1.490  23

***

BaSrPI: computed X-ray powder pattern (Cu Kα, 1.54184 Å), based on a DFT-relaxed cell (GGA-PBE, Alexandria).
Lines closer than 0.1° are merged.

Cell and atoms:
```
BaSrPI
1.0
4.645 0.000 0.000
-2.322 4.023 0.000
0.000 0.000 24.545
Ba Sr P I
3 3 3 3
Cartesian
0.000 0.000 0.000 Ba
0.000 2.682 16.363 Ba
2.322 1.341 8.182 Ba
0.000 0.000 11.390 Sr
0.000 2.682 3.208 Sr
2.322 1.341 19.572 Sr
0.000 0.000 18.065 P
0.000 2.682 9.883 P
2.322 1.341 1.702 P
0.000 0.000 5.568 I
0.000 2.682 21.932 I
2.322 1.341 13.750 I
```

Most intense lines, 2θ = 5–70°, most intense first:
2θ (°)  d (Å)  Rel. int.
26.5  3.364  100
38.8  2.322  41
28.7  3.111  31
36.8  2.440  27
51.7  1.768  20
47.6  1.911  20